Starting from a GGA-PBE-relaxed structure, the XRD peak list of Sm3PtAu2 was simulated for Cu Kα X-rays.

Top 10 peaks for 10 to 90 degrees two-theta, sorted by position:
2θ (°)	d [Å]	I (rel.)
29.70	3.008	100
29.85	2.993	50
41.91	2.156	19
42.61	2.122	76
43.10	2.099	19
52.30	1.749	20
53.31	1.719	20
70.02	1.344	17
70.25	1.340	17
78.68	1.216	13

Structure:
```
Sm3PtAu2
1.0
6.7988 -2.9933 0.0000
6.7988 2.9933 0.0000
-2.5899 0.0000 7.9862
Sm Pt Au
6 2 4
direct
0.0011 0.9989 0.7500
0.3447 0.3477 0.9230
0.3477 0.3447 0.4230
0.6523 0.6553 0.5770
0.6553 0.6523 0.0770
0.9989 0.0011 0.2500
0.4990 0.5010 0.2500
0.5010 0.4990 0.7500
0.1705 0.1733 0.5861
0.1733 0.1705 0.0861
0.8267 0.8295 0.9139
0.8295 0.8267 0.4139
```